Diffraction record for Cd3Pd4PbO12. The X-ray diffraction stick pattern is calculated, not measured: it uses a crystal structure in OQMD, relaxed with PBE and Cu Kα (weighted mean of Kα1 and Kα2).
Neutral-atom scattering factors, no anomalous dispersion.

Atomic structure:
```
Cd3Pd4PbO12
1.0
-3.902 3.902 3.902
3.902 -3.902 3.902
3.902 3.902 -3.902
Cd Pd Pb O
3 4 1 12
direct
0.000 0.500 0.500
0.500 0.000 0.500
0.500 0.500 0.000
0.000 0.000 0.500
0.000 0.500 0.000
0.500 0.000 0.000
0.500 0.500 0.500
0.000 0.000 0.000
0.102 0.289 0.812
0.188 0.477 0.289
0.188 0.898 0.711
0.289 0.188 0.477
0.289 0.812 0.102
0.477 0.289 0.188
0.523 0.711 0.812
0.711 0.188 0.898
0.711 0.812 0.523
0.812 0.102 0.289
0.812 0.523 0.711
0.898 0.711 0.188
```

Largest 10 diffraction maxima, low angle first, 2θ = 5–70°:
2θ (°)  I/Imax
16.06  5
28.01  2
32.45  100
36.41  3
40.02  3
43.39  3
46.55  25
57.89  44
60.49  1
67.95  14

---

Diffraction record for BeAl2FeCu4. The X-ray diffraction stick pattern is calculated, not measured: it uses a crystal structure in OQMD, relaxed with PBE and Cu Kα (weighted mean of Kα1 and Kα2).
Neutral-atom scattering factors, no anomalous dispersion.

Atomic structure:
```
BeAl2FeCu4
1.0
-2.890 2.890 5.626
2.890 -2.890 5.626
2.890 2.890 -5.626
Be Al Fe Cu
2 4 2 8
direct
0.375 0.625 0.750
0.625 0.375 0.250
0.112 0.362 0.750
0.362 0.112 0.250
0.638 0.888 0.750
0.888 0.638 0.250
0.125 0.875 0.250
0.875 0.125 0.750
0.000 0.276 0.276
0.000 0.724 0.724
0.276 0.000 0.776
0.276 0.500 0.276
0.500 0.276 0.776
0.500 0.724 0.224
0.724 0.000 0.224
0.724 0.500 0.724
```

Largest 10 diffraction maxima, low angle first, 2θ = 5–70°:
2θ (°)  I/Imax
28.37  6
30.94  22
31.81  12
35.64  11
44.33  51
44.97  100
47.90  6
55.59  7
64.49  14
66.47  7

---

Diffraction record for Gd3Ga2Cu4. The X-ray diffraction stick pattern is calculated, not measured: it uses a crystal structure in OQMD, relaxed with PBE and Cu Kα (weighted mean of Kα1 and Kα2).
Neutral-atom scattering factors, no anomalous dispersion.

Atomic structure:
```
Gd3Ga2Cu4
1.0
4.992 -2.105 0.000
4.992 2.105 0.000
-1.232 0.000 8.257
Gd Ga Cu
3 2 4
direct
0.000 0.000 0.000
0.374 0.374 0.623
0.626 0.626 0.377
0.318 0.318 0.228
0.682 0.682 0.772
0.079 0.079 0.636
0.275 0.275 0.925
0.725 0.725 0.075
0.921 0.921 0.364
```

Largest 10 diffraction maxima, low angle first, 2θ = 5–70°:
2θ (°)  I/Imax
25.98  68
30.73  58
32.53  33
34.60  100
34.90  41
36.42  35
38.81  52
39.64  36
41.33  60
42.98  61

---

Diffraction record for Cu4Ag. The X-ray diffraction stick pattern is calculated, not measured: it uses a crystal structure in OQMD, relaxed with PBE and Cu Kα (weighted mean of Kα1 and Kα2).
Neutral-atom scattering factors, no anomalous dispersion.

Atomic structure:
```
Cu4Ag
1.0
1.872 -9.298 0.000
1.872 9.298 0.000
0.000 0.000 3.743
Cu Ag
8 2
direct
0.046 0.954 0.750
0.149 0.851 0.250
0.250 0.750 0.750
0.454 0.546 0.750
0.546 0.454 0.250
0.750 0.250 0.250
0.851 0.149 0.750
0.954 0.046 0.250
0.352 0.648 0.250
0.648 0.352 0.750
```

Largest 10 diffraction maxima, low angle first, 2θ = 5–70°:
2θ (°)  I/Imax
19.09  1
24.25  1
25.65  2
27.84  2
28.80  1
34.21  2
41.68  1
41.89  100
48.64  32
48.98  15

---

Diffraction record for Dy2ErScIn2. The X-ray diffraction stick pattern is calculated, not measured: it uses a crystal structure in OQMD, relaxed with PBE and Cu Kα (weighted mean of Kα1 and Kα2).
Neutral-atom scattering factors, no anomalous dispersion.

Atomic structure:
```
Dy2ErScIn2
1.0
5.270 0.000 0.000
-2.635 4.564 0.000
0.000 0.000 6.643
Dy Er Sc In
2 1 1 2
direct
0.000 0.000 0.243
0.000 0.000 0.757
0.667 0.333 0.500
0.333 0.667 0.000
0.333 0.667 0.500
0.667 0.333 0.000
```

Largest 10 diffraction maxima, low angle first, 2θ = 5–70°:
2θ (°)  I/Imax
13.33  5
19.45  12
23.65  5
33.36  100
34.02  91
48.39  35
55.32  7
60.47  36
60.89  17
66.56  25

---

Diffraction record for Sm2AsPt8. The X-ray diffraction stick pattern is calculated, not measured: it uses a crystal structure in OQMD, relaxed with PBE and Cu Kα (weighted mean of Kα1 and Kα2).
Neutral-atom scattering factors, no anomalous dispersion.

Atomic structure:
```
Sm2AsPt8
1.0
4.302 0.000 0.000
0.000 8.754 2.743
0.000 -8.754 2.743
Sm As Pt
2 1 8
direct
0.000 0.126 0.874
0.000 0.874 0.126
0.500 0.267 0.267
0.000 0.306 0.711
0.000 0.513 0.513
0.000 0.711 0.306
0.500 0.013 0.518
0.500 0.396 0.622
0.500 0.518 0.013
0.500 0.622 0.396
0.500 0.848 0.848
```

Largest 10 diffraction maxima, low angle first, 2θ = 5–70°:
2θ (°)  I/Imax
16.94  20
30.53  19
36.93  100
38.74  23
38.94  31
41.25  17
42.00  42
44.30  38
58.46  14
61.10  14